Record 1
For GeSbMoO6, a structure optimized by DFT (GGA+U) gives the simulated powder XRD pattern in this record (Cu Kα, 1.54184 Å).

Top 10 peaks for 2θ from 10° to 90°, by angle:
| d (Å) | 2θ/deg | I/Imax |
| --- | --- | --- |
| 3.340 | 26.69 | 100 |
| 2.641 | 33.94 | 76 |
| 2.361 | 38.11 | 20 |
| 1.760 | 51.94 | 65 |
| 1.670 | 54.99 | 16 |
| 1.493 | 62.15 | 14 |
| 1.438 | 64.84 | 15 |
| 1.411 | 66.22 | 20 |
| 1.211 | 79.04 | 12 |
| 1.153 | 83.95 | 9 |

Crystal structure
Unit cell a=4.723 b=4.723 c=9.559 alpha=90.00 beta=90.00 gamma=90.00
Element x y z (fractional)
1 Ge 0.000 0.000 0.000
2 Ge 0.500 0.500 0.500
3 Sb 0.000 0.000 0.335
4 Sb 0.500 0.500 0.835
5 Mo 0.000 0.000 0.666
6 Mo 0.500 0.500 0.166
7 O 0.184 0.184 0.843
8 O 0.193 0.193 0.156
9 O 0.207 0.207 0.506
10 O 0.293 0.707 0.006
11 O 0.307 0.693 0.656
12 O 0.316 0.684 0.343
13 O 0.684 0.316 0.343
14 O 0.693 0.307 0.656
15 O 0.707 0.293 0.006
16 O 0.793 0.793 0.506
17 O 0.807 0.807 0.156
18 O 0.816 0.816 0.843


Record 2
For ScGeMoO6, a structure optimized by DFT (GGA+U) gives the simulated powder XRD pattern in this record (Cu Kα, 1.54184 Å).

Top 10 peaks for 2θ from 10° to 90°, by angle:
| d (Å) | 2θ/deg | I/Imax |
| --- | --- | --- |
| 4.165 | 21.33 | 17 |
| 3.293 | 27.08 | 100 |
| 2.582 | 34.74 | 68 |
| 2.329 | 38.67 | 15 |
| 1.729 | 52.95 | 65 |
| 1.647 | 55.83 | 19 |
| 1.473 | 63.12 | 12 |
| 1.404 | 66.63 | 15 |
| 1.388 | 67.46 | 22 |
| 1.129 | 86.11 | 10 |

Crystal structure
Unit cell a=4.658 b=4.658 c=9.308 alpha=90.00 beta=90.00 gamma=90.00
Element x y z (fractional)
1 Sc 0.000 0.000 0.000
2 Sc 0.500 0.500 0.500
3 Ge 0.000 0.000 0.663
4 Ge 0.500 0.500 0.163
5 Mo 0.000 0.000 0.331
6 Mo 0.500 0.500 0.831
7 O 0.185 0.185 0.502
8 O 0.201 0.201 0.817
9 O 0.209 0.209 0.168
10 O 0.291 0.709 0.668
11 O 0.299 0.701 0.317
12 O 0.315 0.685 0.002
13 O 0.685 0.315 0.002
14 O 0.701 0.299 0.317
15 O 0.709 0.291 0.668
16 O 0.791 0.791 0.168
17 O 0.799 0.799 0.817
18 O 0.815 0.815 0.502


Record 3
For SmGe2MoO8, a structure optimized by DFT (GGA+U) gives the simulated powder XRD pattern in this record (Cu Kα, 1.54184 Å).

Top 10 peaks for 2θ from 10° to 90°, by angle:
| d (Å) | 2θ/deg | I/Imax |
| --- | --- | --- |
| 4.657 | 19.06 | 14 |
| 3.490 | 25.52 | 100 |
| 2.641 | 33.95 | 67 |
| 2.468 | 36.40 | 21 |
| 1.803 | 50.62 | 60 |
| 1.745 | 52.43 | 15 |
| 1.561 | 59.17 | 18 |
| 1.456 | 63.94 | 18 |
| 1.254 | 75.87 | 13 |
| 1.104 | 88.56 | 16 |

Crystal structure
Unit cell a=5.842 b=5.842 c=5.842 alpha=106.63 beta=106.63 gamma=115.31
Element x y z (fractional)
1 Sm 0.000 0.000 0.000
2 Ge 0.250 0.750 0.500
3 Ge 0.500 0.500 0.000
4 Mo 0.750 0.250 0.500
5 O 0.040 0.370 0.330
6 O 0.040 0.710 0.670
7 O 0.123 0.318 0.805
8 O 0.290 0.960 0.330
9 O 0.514 0.318 0.195
10 O 0.630 0.960 0.670
11 O 0.682 0.486 0.805
12 O 0.682 0.877 0.195


Record 4
For SnGeMoO6, a structure optimized by DFT (GGA+U) gives the simulated powder XRD pattern in this record (Cu Kα, 1.54184 Å).

Top 10 peaks for 2θ from 10° to 90°, by angle:
| d (Å) | 2θ/deg | I/Imax |
| --- | --- | --- |
| 3.312 | 26.92 | 100 |
| 2.607 | 34.40 | 77 |
| 2.342 | 38.44 | 20 |
| 1.742 | 52.53 | 66 |
| 1.656 | 55.49 | 17 |
| 1.481 | 62.73 | 14 |
| 1.418 | 65.87 | 15 |
| 1.398 | 66.94 | 20 |
| 1.200 | 79.92 | 13 |
| 1.139 | 85.20 | 10 |

Crystal structure
Unit cell a=4.684 b=4.684 c=9.413 alpha=90.00 beta=90.00 gamma=90.00
Element x y z (fractional)
1 Sn 0.000 0.000 0.000
2 Sn 0.500 0.500 0.500
3 Ge 0.000 0.000 0.665
4 Ge 0.500 0.500 0.165
5 Mo 0.000 0.000 0.331
6 Mo 0.500 0.500 0.831
7 O 0.187 0.187 0.508
8 O 0.192 0.192 0.823
9 O 0.208 0.208 0.167
10 O 0.292 0.708 0.667
11 O 0.308 0.692 0.323
12 O 0.313 0.687 0.008
13 O 0.687 0.313 0.008
14 O 0.692 0.308 0.323
15 O 0.708 0.292 0.667
16 O 0.792 0.792 0.167
17 O 0.808 0.808 0.823
18 O 0.813 0.813 0.508